(1)
Na6La3TaSi2P4O24: theoretical X-ray diffraction stick pattern (copper Kα), based on DFT lattice parameters and positions (PBE).

Top 10 peaks for 10° ≤ 2θ ≤ 90°, by angle:
2θ (°), intensity
13.14, 37
18.54, 100
18.63, 94
18.77, 40
26.38, 38
29.40, 27
29.56, 82
32.45, 39
32.61, 46
32.82, 26

Crystal structure
```
40
Lattice="9.455 0.000 0.000 -4.675 8.277 0.000 -4.710 -2.726 7.834" Properties=species:S:1:pos:R:3 pbc="T T T"
Na 0.000 0.000 0.000
Na -4.617 2.717 3.905
Na -3.150 0.081 5.906
Na -1.437 2.649 2.294
Na 1.622 2.710 5.437
Na 3.047 5.553 1.936
La 0.149 -0.072 3.404
La -4.652 2.852 7.405
La -0.066 5.524 4.376
Ta 4.693 2.687 0.387
Si 1.573 2.984 1.894
Si -1.275 2.443 5.868
P -2.960 5.276 1.788
P -6.129 5.917 5.917
P 2.790 -0.049 6.041
P 6.107 -0.117 1.970
O -7.660 5.987 6.125
O -4.019 6.396 1.871
O -2.101 5.428 0.554
O -5.772 6.597 4.588
O -5.616 4.480 5.918
O -2.901 2.449 5.846
O 0.828 1.550 1.883
O -2.061 5.112 3.055
O 1.064 3.855 0.627
O -0.768 1.744 4.492
O -0.787 -1.479 7.091
O 1.974 -0.084 4.743
O -0.729 1.392 7.139
O 1.084 7.198 0.833
O 3.238 2.806 1.687
O 1.365 3.893 3.271
O -0.489 3.869 6.046
O 1.766 -0.063 7.242
O 5.488 1.299 1.725
O 5.582 -0.684 3.317
O 3.734 -1.257 6.146
O 3.576 1.283 6.001
O 7.646 0.049 1.960
O 5.667 3.921 1.719
```

(2)
Na3LaTiSiP2O12: theoretical X-ray diffraction stick pattern (copper Kα), based on DFT lattice parameters and positions (PBE).

Top 10 peaks for 10° ≤ 2θ ≤ 90°, by angle:
2θ (°), intensity
13.63, 33
18.83, 54
18.93, 68
19.22, 100
26.76, 48
29.93, 42
30.34, 56
30.79, 48
33.02, 59
33.15, 40

Crystal structure
```
40
Lattice="7.952 -4.703 0.000 7.952 4.703 0.000 -5.442 0.000 7.718" Properties=species:S:1:pos:R:3 pbc="T T T"
Na 5.231 4.009 3.859
Na 1.148 0.835 5.313
Na 3.917 2.132 7.127
Na 3.869 -0.835 1.454
Na 6.638 -2.132 3.269
Na 7.952 -4.009 0.000
La 6.205 2.282 0.554
La 3.484 -2.282 4.413
Ti 6.897 2.172 6.147
Ti 9.619 -2.172 2.288
Si 4.628 1.184 3.725
Si 1.906 -1.184 7.584
P -2.252 0.676 6.839
P 0.469 -0.676 2.980
P 11.812 0.357 1.151
P 9.090 -0.357 5.010
O 1.395 3.334 6.154
O 2.325 1.182 0.317
O 0.442 0.915 3.028
O -0.784 1.109 6.980
O 3.050 1.792 3.372
O 7.947 3.594 1.566
O -2.279 -0.915 6.887
O 5.510 1.801 2.543
O -0.396 -1.182 4.176
O 5.222 1.877 5.121
O 1.937 -1.109 3.121
O 2.012 0.435 7.563
O 4.733 -0.435 3.704
O 0.329 -1.792 7.231
O 5.970 1.173 7.573
O 2.789 -1.801 6.402
O 7.923 0.647 5.387
O 4.116 -3.334 2.295
O 7.944 -1.877 1.262
O 10.644 -0.647 1.528
O 10.381 0.371 4.711
O 8.691 -1.173 3.714
O 13.102 -0.371 0.852
O 5.226 -3.594 5.425
```